No. 1
# Cr3SiNi2
Theoretical XRD peak list, a wavelength of 1.5418 Å. Input: a structure optimized by DFT (GGA-PBE).
Lines closer than 0.1° are merged.

Largest 10 diffraction maxima, by angle, 2θ = 10–90°:
2θ = 24.3°, rel. 5
2θ = 29.8°, rel. 11
2θ = 42.7°, rel. 33
2θ = 45.4°, rel. 100
2θ = 49.7°, rel. 7
2θ = 53.0°, rel. 12
2θ = 64.1°, rel. 10
2θ = 78.2°, rel. 28
2θ = 80.1°, rel. 5
2θ = 85.9°, rel. 6

Structural model:
a b c (Å): 7.335 7.335 7.335
angles (deg): 60.00 60.00 60.00
Sites, in units of the cell vectors:
Cr: 0.047 0.047 0.703
Cr: 0.047 0.703 0.047
Cr: 0.047 0.703 0.703
Cr: 0.297 0.297 0.953
Cr: 0.297 0.953 0.297
Cr: 0.297 0.953 0.953
Cr: 0.703 0.047 0.047
Cr: 0.703 0.047 0.703
Cr: 0.703 0.703 0.047
Cr: 0.953 0.297 0.297
Cr: 0.953 0.297 0.953
Cr: 0.953 0.953 0.297
Si: 0.000 0.500 0.500
Si: 0.500 0.000 0.500
Si: 0.500 0.500 0.000
Si: 0.500 0.500 0.500
Ni: 0.290 0.290 0.290
Ni: 0.290 0.290 0.629
Ni: 0.290 0.629 0.290
Ni: 0.371 0.710 0.710
Ni: 0.629 0.290 0.290
Ni: 0.710 0.371 0.710
Ni: 0.710 0.710 0.371
Ni: 0.710 0.710 0.710

No. 2
# Sm7ScTl4
Theoretical XRD peak list, a wavelength of 1.5418 Å. Input: a structure optimized by DFT (GGA-PBE).
Lines closer than 0.1° are merged.

Largest 10 diffraction maxima, by angle, 2θ = 10–90°:
2θ = 29.3°, rel. 42
2θ = 29.8°, rel. 30
2θ = 30.7°, rel. 100
2θ = 31.4°, rel. 24
2θ = 31.9°, rel. 69
2θ = 32.7°, rel. 40
2θ = 33.5°, rel. 22
2θ = 34.2°, rel. 83
2θ = 36.2°, rel. 32
2θ = 42.9°, rel. 30

Structural model:
a b c (Å): 8.107 8.107 9.892
angles (deg): 119.28 119.28 42.12
Sites, in units of the cell vectors:
Sm: 0.000 0.000 0.000
Sm: 0.246 0.246 0.700
Sm: 0.298 0.298 0.118
Sm: 0.433 0.433 0.598
Sm: 0.567 0.567 0.402
Sm: 0.702 0.702 0.882
Sm: 0.754 0.754 0.300
Sc: 0.500 0.500 0.000
Tl: 0.048 0.048 0.711
Tl: 0.185 0.185 0.340
Tl: 0.815 0.815 0.660
Tl: 0.952 0.952 0.289

No. 3
# Mn2BeFe2
Theoretical XRD peak list, a wavelength of 1.5418 Å. Input: a structure optimized by DFT (GGA-PBE).
Lines closer than 0.1° are merged.

Largest 10 diffraction maxima, by angle, 2θ = 10–90°:
2θ = 23.7°, rel. 19
2θ = 27.5°, rel. 40
2θ = 30.6°, rel. 58
2θ = 41.8°, rel. 44
2θ = 46.7°, rel. 17
2θ = 48.3°, rel. 83
2θ = 48.4°, rel. 100
2θ = 48.9°, rel. 67
2θ = 69.6°, rel. 9
2θ = 70.9°, rel. 33

Structural model:
a b c (Å): 3.756 4.636 6.433
angles (deg): 90.00 90.00 90.00
Sites, in units of the cell vectors:
Mn: 0.000 0.000 0.191
Mn: 0.000 0.000 0.809
Mn: 0.500 0.500 0.309
Mn: 0.500 0.500 0.691
Be: 0.000 0.500 0.000
Be: 0.500 0.000 0.500
Fe: 0.000 0.259 0.500
Fe: 0.000 0.741 0.500
Fe: 0.500 0.241 0.000
Fe: 0.500 0.759 0.000

No. 4
# Pr3YCo
Theoretical XRD peak list, a wavelength of 1.5418 Å. Input: a structure optimized by DFT (GGA-PBE).
Lines closer than 0.1° are merged.

Largest 10 diffraction maxima, by angle, 2θ = 10–90°:
2θ = 29.5°, rel. 100
2θ = 29.9°, rel. 61
2θ = 32.7°, rel. 26
2θ = 33.5°, rel. 35
2θ = 33.6°, rel. 21
2θ = 39.2°, rel. 18
2θ = 41.6°, rel. 11
2θ = 42.6°, rel. 12
2θ = 50.1°, rel. 21
2θ = 52.1°, rel. 11

Structural model:
a b c (Å): 7.388 7.388 7.388
angles (deg): 108.06 110.41 109.96
Sites, in units of the cell vectors:
Pr: 0.210 0.045 0.255
Pr: 0.210 0.455 0.665
Pr: 0.661 0.953 0.208
Pr: 0.745 0.453 0.792
Pr: 0.790 0.545 0.335
Pr: 0.790 0.955 0.745
Y: 0.245 0.542 0.203
Y: 0.339 0.042 0.797
Co: 0.138 0.746 0.892
Co: 0.854 0.246 0.108